Computed powder XRD pattern
Compound: CsHoTeO
Radiation: CuKα
Structure: a GGA-PBE-relaxed structure
Kinematic intensities with the Lorentz-polarization factor, no thermal factor.

Largest 8 diffraction maxima, by angle, 10 to 80 degrees two-theta:
d_spacing	Rel. int.
3.303	31.5
3.243	81.5
3.156	100.0
2.965	45.7
2.898	54.1
2.813	33.3
2.586	40.1
1.917	23.2

Atomic structure:
Lattice parameters (Å, degrees): 9.8893 7.4186 6.7233 90.00 100.68 90.00
Atoms (fractional coordinates):
Cs1 0.1333 0.0779 0.3212
Cs2 0.1333 0.4221 0.8212
Cs3 0.8667 0.5779 0.1788
Cs4 0.8667 0.9221 0.6788
Ho1 0.4943 0.6366 0.7939
Ho2 0.4943 0.8634 0.2939
Ho3 0.5057 0.1366 0.7061
Ho4 0.5057 0.3634 0.2061
Te1 0.2694 0.5774 0.3678
Te2 0.2694 0.9226 0.8678
Te3 0.7306 0.0774 0.1322
Te4 0.7306 0.4226 0.6322
O1 0.4346 0.1399 0.3811
O2 0.4346 0.3601 0.8811
O3 0.5654 0.6399 0.1189
O4 0.5654 0.8601 0.6189